CaYTm2Te4: calculated X-ray powder pattern (copper Kα), based on DFT lattice parameters and positions (PBE).
Intensities are scaled so that the largest is 100.

Largest 12 diffraction maxima, by angle, 2θ from 5° to 70°:
12.41 deg, rel. 13; 28.96 deg, rel. 100; 41.18 deg, rel. 13; 41.37 deg, rel. 25; 41.49 deg, rel. 25; 41.62 deg, rel. 12; 51.04 deg, rel. 7; 51.25 deg, rel. 7; 51.52 deg, rel. 13; 60.02 deg, rel. 12; 67.93 deg, rel. 11; 68.10 deg, rel. 11

Structure:
a b c (Å): 7.5468 4.3402 7.5752
angles (deg): 90.00 109.12 90.00
Space group P2/m (No. 10)
Inequivalent atoms, fractional coordinates:
Ca 0.0000 0.0000 0.0000 x1
Y 0.0000 0.5000 0.5000 x1
Tm 0.5000 0.0000 0.5000 x1
Tm 0.5000 0.5000 0.0000 x1
Te 0.2562 0.0000 0.7515 x2
Te 0.2573 0.5000 0.2534 x2


Ca6YTe8: calculated X-ray powder pattern (copper Kα), based on DFT lattice parameters and positions (PBE).
Intensities are scaled so that the largest is 100.

Largest 12 diffraction maxima, by angle, 2θ from 5° to 70°:
12.05 deg, rel. 8; 23.19 deg, rel. 2; 24.24 deg, rel. 44; 28.06 deg, rel. 100; 36.71 deg, rel. 3; 40.10 deg, rel. 75; 42.02 deg, rel. 2; 47.41 deg, rel. 22; 49.65 deg, rel. 26; 58.00 deg, rel. 12; 63.78 deg, rel. 9; 65.65 deg, rel. 33

Structure:
a b c (Å): 12.7208 12.7208 12.7208
angles (deg): 90.00 90.00 90.00
Space group Fm-3m (No. 225)
Inequivalent atoms, fractional coordinates:
Ca 0.0000 0.2500 0.2500 x24
Y 0.0000 0.0000 0.0000 x4
Te 0.0000 0.0000 0.2444 x24
Te 0.2500 0.2500 0.2500 x8


Ca3YTe4: calculated X-ray powder pattern (copper Kα), based on DFT lattice parameters and positions (PBE).
Intensities are scaled so that the largest is 100.

Largest 12 diffraction maxima, by angle, 2θ from 5° to 70°:
24.34 deg, rel. 14; 24.46 deg, rel. 14; 28.25 deg, rel. 100; 40.23 deg, rel. 13; 40.38 deg, rel. 50; 40.53 deg, rel. 12; 47.66 deg, rel. 7; 47.82 deg, rel. 7; 49.88 deg, rel. 13; 50.14 deg, rel. 13; 58.43 deg, rel. 12; 66.14 deg, rel. 22

Structure:
a b c (Å): 8.9667 12.6389 4.4512
angles (deg): 90.00 90.00 90.00
Space group Cmmm (No. 65)
Inequivalent atoms, fractional coordinates:
Ca 0.0000 0.0000 0.0000 x2
Ca 0.2500 0.2500 0.5000 x4
Y 0.0000 0.5000 0.0000 x2
Te 0.0000 0.2526 0.0000 x4
Te 0.2456 0.5000 0.5000 x4


CaY4Te5: calculated X-ray powder pattern (copper Kα), based on DFT lattice parameters and positions (PBE).
Intensities are scaled so that the largest is 100.

Largest 10 diffraction maxima, by angle, 2θ from 5° to 70°:
12.76 deg, rel. 1; 16.90 deg, rel. 1; 24.85 deg, rel. 9; 28.78 deg, rel. 100; 41.15 deg, rel. 75; 48.67 deg, rel. 4; 50.98 deg, rel. 26; 59.60 deg, rel. 12; 65.58 deg, rel. 2; 67.51 deg, rel. 33

Structure:
a b c (Å): 9.8103 9.8103 6.2062
angles (deg): 90.00 90.00 90.00
Space group I4/m (No. 87)
Inequivalent atoms, fractional coordinates:
Ca 0.0000 0.0000 0.0000 x2
Y 0.1016 0.2996 0.5000 x8
Te 0.0000 0.0000 0.5000 x2
Te 0.0990 0.3014 0.0000 x8


Ca3Y4Te8: calculated X-ray powder pattern (copper Kα), based on DFT lattice parameters and positions (PBE).
Intensities are scaled so that the largest is 100.

Largest 12 diffraction maxima, by angle, 2θ from 5° to 70°:
24.63 deg, rel. 16; 24.79 deg, rel. 16; 28.56 deg, rel. 100; 28.69 deg, rel. 49; 40.69 deg, rel. 19; 40.84 deg, rel. 37; 40.96 deg, rel. 37; 41.11 deg, rel. 18; 50.49 deg, rel. 20; 50.85 deg, rel. 20; 66.89 deg, rel. 13; 67.07 deg, rel. 17

Structure:
a b c (Å): 12.4456 12.4809 8.7834
angles (deg): 90.00 134.55 90.00
Space group C2/m (No. 12)
Inequivalent atoms, fractional coordinates:
Ca 0.0000 0.0000 0.0000 x2
Ca 0.2500 0.2500 0.0000 x4
Y 0.0000 0.5000 0.0000 x2
Y 0.0000 0.5000 0.5000 x2
Y 0.2500 0.2500 0.5000 x4
Te 0.0000 0.2491 0.5000 x4
Te 0.0000 0.2515 0.0000 x4
Te 0.2455 0.5000 0.9968 x4
Te 0.2494 0.0000 0.5042 x4


CaZn2Te: calculated X-ray powder pattern (copper Kα), based on DFT lattice parameters and positions (PBE).
Intensities are scaled so that the largest is 100.

Largest 12 diffraction maxima, by angle, 2θ from 5° to 70°:
22.05 deg, rel. 14; 22.28 deg, rel. 14; 29.47 deg, rel. 100; 33.50 deg, rel. 71; 42.17 deg, rel. 37; 44.98 deg, rel. 31; 45.47 deg, rel. 30; 54.87 deg, rel. 17; 61.16 deg, rel. 12; 63.33 deg, rel. 11; 63.71 deg, rel. 10; 69.33 deg, rel. 16

Structure:
a b c (Å): 5.9622 12.1308 4.2255
angles (deg): 90.00 134.21 90.00
Space group C2/m (No. 12)
Inequivalent atoms, fractional coordinates:
Ca 0.0000 0.0000 0.0000 x2
Zn 0.2500 0.2500 0.0000 x4
Te 0.0000 0.5000 0.0000 x2


Repeat the first record exactly.
CaYTm2Te4: calculated X-ray powder pattern (copper Kα), based on DFT lattice parameters and positions (PBE).
Intensities are scaled so that the largest is 100.

Largest 12 diffraction maxima, by angle, 2θ from 5° to 70°:
12.41 deg, rel. 13; 28.96 deg, rel. 100; 41.18 deg, rel. 13; 41.37 deg, rel. 25; 41.49 deg, rel. 25; 41.62 deg, rel. 12; 51.04 deg, rel. 7; 51.25 deg, rel. 7; 51.52 deg, rel. 13; 60.02 deg, rel. 12; 67.93 deg, rel. 11; 68.10 deg, rel. 11

Structure:
a b c (Å): 7.5468 4.3402 7.5752
angles (deg): 90.00 109.12 90.00
Space group P2/m (No. 10)
Inequivalent atoms, fractional coordinates:
Ca 0.0000 0.0000 0.0000 x1
Y 0.0000 0.5000 0.5000 x1
Tm 0.5000 0.0000 0.5000 x1
Tm 0.5000 0.5000 0.0000 x1
Te 0.2562 0.0000 0.7515 x2
Te 0.2573 0.5000 0.2534 x2